[1]
The following is a simulated X-ray powder pattern of Ba3Tl2Hg4Pb2. It was derived from the GGA-PBE geometry in Alexandria, using copper Kα.

Peak list (10 most intense, 10° ≤ 2θ ≤ 90°, sorted by position)
- (1 0 3), 25.23 deg, rel. 324
- (0 1 4), 28.68 deg, rel. 714
- (0 1 5), 32.63 deg, rel. 274
- (1 1 0), 35.01 deg, rel. 1000
- (0 1 6), 36.94 deg, rel. 204
- (1 1 4), 40.83 deg, rel. 190
- (2 0 4), 45.86 deg, rel. 200
- (1 1 7), 51.10 deg, rel. 203
- (1 2 4), 58.97 deg, rel. 191
- (3 0 0), 62.79 deg, rel. 188

Unit cell a=5.1265 b=5.1265 c=17.4553 alpha=90.00 beta=90.00 gamma=120.00
Positions (direct):
Ba 0.0000 0.0000 0.0000
Ba 0.0000 0.0000 0.2701
Ba 0.0000 0.0000 0.7299
Tl 0.3333 0.6667 0.5583
Tl 0.6667 0.3333 0.4417
Hg 0.3333 0.6667 0.3809
Hg 0.3333 0.6667 0.8803
Hg 0.6667 0.3333 0.1197
Hg 0.6667 0.3333 0.6191
Pb 0.3333 0.6667 0.1437
Pb 0.6667 0.3333 0.8563

[2]
The following is a simulated X-ray powder pattern of CeMg2ZnAu2. It was derived from the GGA-PBE geometry in Alexandria, using copper Kα.

Peak list (10 most intense, 10° ≤ 2θ ≤ 90°, sorted by position)
- (1 0 1), 21.13 deg, rel. 217
- (1 0 3), 26.30 deg, rel. 1000
- (1 1 0), 29.01 deg, rel. 605
- (0 0 6), 33.19 deg, rel. 168
- (2 0 0), 41.49 deg, rel. 328
- (1 0 7), 44.34 deg, rel. 114
- (1 1 6), 44.65 deg, rel. 434
- (2 1 3), 49.79 deg, rel. 363
- (2 0 6), 54.13 deg, rel. 170
- (3 1 6), 77.92 deg, rel. 197

Unit cell a=4.3530 b=4.3530 c=16.1947 alpha=90.00 beta=90.00 gamma=90.00
Positions (direct):
Ce 0.0000 0.0000 0.0000
Ce 0.5000 0.5000 0.5000
Mg 0.0000 0.5000 0.2500
Mg 0.0000 0.5000 0.7500
Mg 0.5000 0.0000 0.2500
Mg 0.5000 0.0000 0.7500
Zn 0.0000 0.0000 0.5000
Zn 0.5000 0.5000 0.0000
Au 0.0000 0.0000 0.3485
Au 0.0000 0.0000 0.6515
Au 0.5000 0.5000 0.1515
Au 0.5000 0.5000 0.8485

[3]
The following is a simulated X-ray powder pattern of TaMnSe4. It was derived from the GGA-PBE geometry in Alexandria, using copper Kα.

Peak list (10 most intense, 10° ≤ 2θ ≤ 90°, sorted by position)
- (2 0 0), 13.18 deg, rel. 1000
- (2 0 -1), 15.97 deg, rel. 194
- (1 1 1), 32.11 deg, rel. 833
- (4 0 -2), 32.26 deg, rel. 372
- (3 1 1), 39.82 deg, rel. 538
- (6 0 -2), 39.95 deg, rel. 279
- (7 1 -1), 50.48 deg, rel. 266
- (4 0 2), 50.57 deg, rel. 129
- (0 2 0), 51.57 deg, rel. 126
- (3 1 -3), 51.88 deg, rel. 243

Unit cell a=14.7533 b=3.5445 c=6.0942 alpha=90.00 beta=114.38 gamma=90.00
Positions (direct):
Ta 0.0000 0.0000 0.0000
Ta 0.5000 0.5000 0.0000
Mn 0.0000 0.5000 0.5000
Mn 0.5000 0.0000 0.5000
Se 0.1135 0.0000 0.7735
Se 0.1172 0.5000 0.2944
Se 0.3828 0.0000 0.7056
Se 0.3865 0.5000 0.2265
Se 0.6135 0.5000 0.7735
Se 0.6172 0.0000 0.2944
Se 0.8828 0.5000 0.7056
Se 0.8865 0.0000 0.2265